Computed powder diffraction line list
Compound: Na3Cu6Se5
Radiation: λ = 1.5418 Å (Cu Kα)
Structure: a cell relaxed with GGA-PBE
No peak broadening, texture or thermal motion is included.

a b c (Å): 3.972 12.430 10.445
angles (deg): 90.00 90.00 90.00
Fractional coordinates of all 28 atoms:
Na1 0.250 0.094 0.247
Na2 0.250 0.406 0.247
Na3 0.250 0.750 0.251
Na4 0.750 0.250 0.749
Na5 0.750 0.594 0.753
Na6 0.750 0.906 0.753
Cu1 0.250 0.065 0.616
Cu2 0.250 0.250 0.500
Cu3 0.250 0.250 0.988
Cu4 0.250 0.435 0.616
Cu5 0.250 0.585 0.007
Cu6 0.250 0.915 0.007
Cu7 0.750 0.085 0.993
Cu8 0.750 0.415 0.993
Cu9 0.750 0.565 0.384
Cu10 0.750 0.750 0.012
Cu11 0.750 0.750 0.500
Cu12 0.750 0.935 0.384
Se1 0.250 0.078 0.849
Se2 0.250 0.422 0.849
Se3 0.250 0.618 0.514
Se4 0.250 0.750 0.870
Se5 0.250 0.882 0.514
Se6 0.750 0.118 0.486
Se7 0.750 0.250 0.130
Se8 0.750 0.382 0.486
Se9 0.750 0.578 0.151
Se10 0.750 0.922 0.151

Most intense lines, 2θ = 5–70°, sorted by position:
2θ (°)	I/Imax	(hkl)
16.98	61.4	0 0 2
23.09	21.5	0 3 1
23.97	26.0	1 0 1
33.62	14.5	0 3 3
34.26	24.8	1 0 3
35.72	100.0	1 3 2
43.69	28.0	0 6 0
45.68	36.4	2 0 0
47.07	71.9	1 3 4
65.06	17.0	2 6 0